(1)
Starting from a PBE-relaxed structure, the X-ray diffraction stick pattern of SnC2O4 was computed for CuKα.
Peak positions follow from Bragg's law for the DFT cell and can differ from measured ones.

The 12 most intense peaks (10 to 90 degrees two-theta), in order of rising 2θ:
- hkl 1 1 0, d 4.814, I 100
- hkl 2 0 0, d 4.315, I 26
- hkl 2 0 -2, d 4.093, I 40
- hkl 1 1 1, d 3.470, I 58
- hkl 1 1 -2, d 3.379, I 61
- hkl 0 2 1, d 2.676, I 19
- hkl 4 0 -2, d 2.636, I 23
- hkl 3 1 0, d 2.577, I 21
- hkl 2 2 -1, d 2.541, I 24
- hkl 3 1 -3, d 2.468, I 24
- hkl 1 1 -3, d 2.411, I 17
- hkl 2 0 -4, d 2.078, I 28

Unit cell a=10.5613 b=5.7992 c=8.5011 alpha=90.00 beta=125.19 gamma=90.00
Space group C2/c (No. 15)
Symmetry-distinct sites (fractional):
Sn (0.0000, 0.1017, 0.2500)
C (0.1987, 0.2951, 0.0316)
O (0.0699, 0.1920, 0.9627)
O (0.2480, 0.4632, 0.1459)

(2)
Starting from a PBE-relaxed structure, the X-ray diffraction stick pattern of SrCO3 was computed for CuKα.
Peak positions follow from Bragg's law for the DFT cell and can differ from measured ones.

The 12 most intense peaks (10 to 90 degrees two-theta), in order of rising 2θ:
- hkl 0 1 2, d 4.091, I 41
- hkl 1 0 4, d 3.257, I 100
- hkl 1 1 0, d 2.629, I 28
- hkl 2 0 2, d 2.212, I 22
- hkl 0 1 8, d 2.075, I 26
- hkl 0 2 4, d 2.046, I 13
- hkl 1 1 6, d 2.007, I 32
- hkl 1 2 2, d 1.692, I 19
- hkl 2 0 8, d 1.628, I 8
- hkl 2 1 4, d 1.614, I 12
- hkl 3 0 0, d 1.518, I 9
- hkl 1 3 4, d 1.219, I 8

Unit cell a=5.2578 b=5.2578 c=18.6436 alpha=90.00 beta=90.00 gamma=120.00
Space group R-3c (No. 167, hexagonal axes)
Symmetry-distinct sites (fractional):
Sr (0.0000, 0.0000, 0.0000)
C (0.0000, 0.0000, 0.2500)
O (0.0000, 0.2474, 0.2500)

(3)
Starting from a PBE-relaxed structure, the X-ray diffraction stick pattern of SrC3O7 was computed for CuKα.
Peak positions follow from Bragg's law for the DFT cell and can differ from measured ones.

The 12 most intense peaks (10 to 90 degrees two-theta), in order of rising 2θ:
- hkl 0 2 0, d 8.553, I 74
- hkl 1 1 -1, d 5.964, I 70
- hkl 0 4 0, d 4.277, I 39
- hkl 1 2 -2, d 4.056, I 41
- hkl 0 4 1, d 3.682, I 100
- hkl 0 0 2, d 3.619, I 38
- hkl 2 1 -1, d 2.954, I 31
- hkl 1 3 1, d 2.827, I 28
- hkl 2 1 -3, d 2.795, I 41
- hkl 2 3 -2, d 2.778, I 34
- hkl 0 6 1, d 2.653, I 35
- hkl 2 3 0, d 2.279, I 28

Unit cell a=6.3823 b=17.1068 c=9.2892 alpha=90.00 beta=128.82 gamma=90.00
Space group P2_1/c (No. 14)
Symmetry-distinct sites (fractional):
Sr (0.1469, 0.0490, 0.2544)
C (0.0513, 0.7221, 0.6738)
C (0.3934, 0.2054, 0.7533)
C (0.4957, 0.0218, 0.0732)
O (0.0166, 0.6722, 0.5737)
O (0.0828, 0.7273, 0.2713)
O (0.2736, 0.0172, 0.0466)
O (0.2971, 0.5579, 0.2975)
O (0.3167, 0.1478, 0.6644)
O (0.4019, 0.5551, 0.9594)
O (0.4693, 0.2366, 0.3407)

(4)
Starting from a PBE-relaxed structure, the X-ray diffraction stick pattern of SrCO3 was computed for CuKα.
Peak positions follow from Bragg's law for the DFT cell and can differ from measured ones.

The 12 most intense peaks (10 to 90 degrees two-theta), in order of rising 2θ:
- hkl 1 1 0, d 4.053, I 47
- hkl 0 0 2, d 3.855, I 20
- hkl 2 0 0, d 3.239, I 42
- hkl 1 1 -2, d 3.211, I 100
- hkl 0 2 0, d 2.597, I 16
- hkl 1 1 2, d 2.505, I 29
- hkl 0 2 2, d 2.154, I 30
- hkl 2 0 2, d 2.107, I 44
- hkl 2 2 0, d 2.026, I 19
- hkl 2 2 -2, d 2.006, I 15
- hkl 3 1 0, d 1.994, I 19
- hkl 1 1 -4, d 1.933, I 15

Unit cell a=7.0328 b=5.1944 c=8.3704 alpha=90.00 beta=112.90 gamma=90.00
Space group C2/m (No. 12)
Symmetry-distinct sites (fractional):
Sr (0.0000, 0.0000, 0.0000)
Sr (0.0000, 0.0000, 0.5000)
C (0.0344, 0.5000, 0.2324)
O (0.1195, 0.2833, 0.3037)
O (0.1260, 0.5000, 0.9103)

(5)
Starting from a PBE-relaxed structure, the X-ray diffraction stick pattern of SrC3O6 was computed for CuKα.
Peak positions follow from Bragg's law for the DFT cell and can differ from measured ones.

The 12 most intense peaks (10 to 90 degrees two-theta), in order of rising 2θ:
- hkl 1 0 0, d 8.036, I 76
- hkl 1 1 0, d 6.110, I 100
- hkl 0 1 1, d 5.763, I 58
- hkl 2 1 0, d 3.697, I 65
- hkl 1 0 -2, d 3.601, I 85
- hkl 1 2 1, d 3.404, I 40
- hkl 2 2 0, d 3.055, I 40
- hkl 0 3 1, d 2.881, I 73
- hkl 1 1 -3, d 2.386, I 49
- hkl 2 3 1, d 2.258, I 29
- hkl 1 4 1, d 2.123, I 31
- hkl 3 3 -1, d 2.043, I 31

Unit cell a=8.2004 b=9.4073 c=7.4401 alpha=90.00 beta=101.48 gamma=90.00
Space group P2_1/c (No. 14)
Symmetry-distinct sites (fractional):
Sr (0.1712, 0.1727, 0.0435)
C (0.0164, 0.5036, 0.9002)
C (0.2712, 0.6985, 0.5808)
C (0.4816, 0.6003, 0.6767)
O (0.0454, 0.1082, 0.6970)
O (0.1025, 0.0965, 0.3516)
O (0.1636, 0.6099, 0.5186)
O (0.2934, 0.6752, 0.1044)
O (0.3977, 0.1806, 0.8006)
O (0.4452, 0.0242, 0.1896)

(6)
Starting from a PBE-relaxed structure, the X-ray diffraction stick pattern of SrC2O4 was computed for CuKα.
Peak positions follow from Bragg's law for the DFT cell and can differ from measured ones.

The 12 most intense peaks (10 to 90 degrees two-theta), in order of rising 2θ:
- hkl 0 1 1, d 5.683, I 24
- hkl 1 0 1, d 5.428, I 100
- hkl 1 1 2, d 3.317, I 45
- hkl 1 2 1, d 3.073, I 58
- hkl 2 1 1, d 2.951, I 32
- hkl 0 1 3, d 2.724, I 32
- hkl 2 2 0, d 2.533, I 32
- hkl 2 1 3, d 2.139, I 24
- hkl 1 3 2, d 2.064, I 24
- hkl 1 1 4, d 2.014, I 22
- hkl 3 1 2, d 1.966, I 25
- hkl 3 2 1, d 1.912, I 17

Unit cell a=6.9054 b=7.4550 c=8.7791 alpha=90.00 beta=90.00 gamma=90.00
Space group P2_12_12_1 (No. 19)
Symmetry-distinct sites (fractional):
Sr (0.0026, 0.2391, 0.1709)
C (0.1179, 0.5562, 0.6933)
C (0.2292, 0.1373, 0.5086)
O (0.1225, 0.6819, 0.5977)
O (0.1319, 0.0607, 0.4071)
O (0.1569, 0.9198, 0.1078)
O (0.2497, 0.4943, 0.7758)

(7)
Starting from a PBE-relaxed structure, the X-ray diffraction stick pattern of SrCO3 was computed for CuKα.
Peak positions follow from Bragg's law for the DFT cell and can differ from measured ones.

The 12 most intense peaks (10 to 90 degrees two-theta), in order of rising 2θ:
- hkl 1 0 1, d 4.064, I 42
- hkl 0 1 2, d 3.282, I 100
- hkl 1 1 0, d 2.587, I 30
- hkl 0 2 1, d 2.183, I 21
- hkl 1 0 4, d 2.123, I 27
- hkl 2 0 2, d 2.032, I 13
- hkl 1 1 3, d 2.015, I 36
- hkl 2 1 1, d 1.668, I 19
- hkl 1 2 2, d 1.598, I 13
- hkl 3 0 0, d 1.494, I 8
- hkl 2 1 4, d 1.386, I 8
- hkl 3 1 2, d 1.204, I 8

Unit cell a=5.1748 b=5.1748 c=9.6425 alpha=90.00 beta=90.00 gamma=120.00
Space group R32 (No. 155, hexagonal axes)
Symmetry-distinct sites (fractional):
Sr (0.0000, 0.0000, 0.0000)
C (0.0000, 0.0000, 0.5000)
O (0.0000, 0.7482, 0.5000)